Diffraction record for KP2SeS8. The X-ray powder pattern is theoretical, not measured: it uses the PBE geometry in Alexandria and Cu Kα X-rays.
Lines closer than 0.1° are merged.

Largest 8 diffraction maxima, by angle, 2θ from 10° to 90°:
Position (°2θ)	I (rel.)	h k l
21.1	100.0	1 0 4
27.2	21.3	0 0 9
30.1	25.5	1 1 0
31.5	51.2	2 -1 3
35.3	64.6	1 1 6
37.0	24.9	0 2 4
48.0	32.2	2 -1 12
53.4	39.1	3 0 0

Cell and atoms:
a = 5.9413 Å, b = 5.9413 Å, c = 29.4894 Å
α = 90.00°, β = 90.00°, γ = 120.00°
Space group R-3 (No. 148, hexagonal axes)
Symmetry-distinct sites (fractional):
K (0.0000, 0.0000, 0.0000)
P (0.0000, 0.0000, 0.2394)
Se (0.0000, 0.0000, 0.5000)
S (0.0000, 0.0000, 0.3071)
S (0.0019, 0.6755, 0.8870)

---

Diffraction record for K2CdPtO4. The X-ray powder pattern is theoretical, not measured: it uses the PBE geometry in Alexandria and Cu Kα X-rays.
Lines closer than 0.1° are merged.

Largest 8 diffraction maxima, by angle, 2θ from 10° to 90°:
Position (°2θ)	I (rel.)	h k l
15.6	100.0	0 2 2
18.0	64.9	0 0 4
25.5	23.4	0 4 0
30.0	43.9	0 2 6
30.8	34.4	2 2 0
35.9	25.5	2 2 4
39.4	36.7	2 0 6
47.5	26.3	2 4 6

Cell and atoms:
a = 6.376 Å, b = 13.956 Å, c = 19.739 Å
α = 90.00°, β = 90.00°, γ = 90.00°
Space group Fddd (No. 70, origin choice 2)
Symmetry-distinct sites (fractional):
K (0.125, 0.125, 0.307)
Cd (0.125, 0.125, 0.125)
Pt (0.125, 0.125, 0.625)
O (0.095, 0.279, 0.876)